1.
Diffraction record for Mn5Ir. The powder XRD pattern is computed, not measured: it uses a cell relaxed with PBE and Cu Ka.
Neutral-atom scattering factors, no anomalous dispersion.

Peak list (10 most intense, 2θ = 15–90°, most intense first)
hkl  Position (°2θ)  d (Å)  I_rel
3 1 0  46.6  1.950  100.0
4 0 -2  44.5  2.036  36.6
0 0 1  15.3  5.794  35.3
1 1 1  40.6  2.222  29.1
4 0 1  46.9  1.938  23.5
0 0 3  47.1  1.931  23.1
2 0 0  19.8  4.491  21.1
2 0 -1  21.8  4.072  18.7
2 0 2  41.1  2.198  15.4
3 1 3  74.5  1.274  14.6

```
data_Mn5Ir
_chemical_formula_sum 'Mn10 Ir2'
_cell_length_a 9.2711
_cell_length_b 2.5749
_cell_length_c 5.9808
_cell_angle_alpha 90.00
_cell_angle_beta 104.37
_cell_angle_gamma 90.00
_space_group_name_H-M_alt 'C 1 m 1'
_space_group_IT_number 8
loop_
_space_group_symop_operation_xyz
'x,y,z'
'x,-y,z'
'x+1/2,y+1/2,z'
'x+1/2,-y+1/2,z'
loop_
_atom_site_label
_atom_site_type_symbol
_atom_site_fract_x
_atom_site_fract_y
_atom_site_fract_z
Mn1 Mn 0.0000 0.0000 0.0000
Mn2 Mn 0.0540 0.0000 0.5976
Mn3 Mn 0.1612 0.5000 0.3175
Mn4 Mn 0.2161 0.5000 0.9436
Mn5 Mn 0.3869 0.0000 0.2636
Ir1 Ir 0.3319 0.0000 0.6605
```

***

2.
Diffraction record for PmPuSi3. The powder XRD pattern is computed, not measured: it uses a cell relaxed with PBE and Cu Ka.
Neutral-atom scattering factors, no anomalous dispersion.

Peak list (10 most intense, 2θ = 15–90°, most intense first)
hkl  Position (°2θ)  d (Å)  I_rel
1 3 1  32.9  2.724  100.0
0 4 1  26.5  3.361  68.7
1 7 0  33.2  2.701  60.7
1 1 0  21.6  4.110  39.0
1 5 1  36.0  2.494  27.3
2 4 1  51.6  1.771  27.0
0 8 0  28.8  3.104  26.8
1 7 2  57.4  1.607  25.8
1 11 1  51.4  1.778  21.4
2 0 0  43.4  2.084  20.1

```
data_PmPuSi3
_chemical_formula_sum 'Pm4 Pu4 Si12'
_cell_length_a 4.1679
_cell_length_b 24.8332
_cell_length_c 3.9967
_cell_angle_alpha 90.00
_cell_angle_beta 90.00
_cell_angle_gamma 90.00
_space_group_name_H-M_alt 'C m c m'
_space_group_IT_number 63
_space_group_name_Hall '-C 2c 2'
loop_
_atom_site_label
_atom_site_type_symbol
_atom_site_fract_x
_atom_site_fract_y
_atom_site_fract_z
Pm1 Pm 0.0000 0.2024 0.2500
Pu1 Pu 0.0000 0.0692 0.7500
Si1 Si 0.0000 0.3292 0.2500
Si2 Si 0.0000 0.3837 0.7500
Si3 Si 0.0000 0.4766 0.7500
```

***

3.
Diffraction record for CdGaH14O7F5. The powder XRD pattern is computed, not measured: it uses a cell relaxed with PBE and Cu Ka.
Neutral-atom scattering factors, no anomalous dispersion.

Peak list (10 most intense, 2θ = 15–90°, most intense first)
hkl  Position (°2θ)  d (Å)  I_rel
0 0 2  19.0  4.666  100.0
-1 1 1  19.1  4.637  63.1
1 -1 1  19.6  4.524  62.9
0 2 1  25.0  3.568  43.7
1 1 -2  21.9  4.062  30.2
1 1 0  19.8  4.489  27.9
2 0 -2  32.2  2.781  26.4
1 1 -1  18.5  4.785  25.8
2 -2 0  34.1  2.627  25.6
0 2 0  20.0  4.432  21.2

```
data_CdGaH14O7F5
_chemical_formula_sum 'Cd2 Ga2 H28 O14 F10'
_cell_length_a 5.9702
_cell_length_b 9.4552
_cell_length_c 10.1423
_cell_angle_alpha 107.92
_cell_angle_beta 101.96
_cell_angle_gamma 95.47
_space_group_name_H-M_alt 'P -1'
_space_group_IT_number 2
loop_
_space_group_symop_operation_xyz
'x,y,z'
'-x,-y,-z'
loop_
_atom_site_label
_atom_site_type_symbol
_atom_site_fract_x
_atom_site_fract_y
_atom_site_fract_z
Cd1 Cd 0.0802 0.3229 0.2508
Ga1 Ga 0.4523 0.1755 0.7543
H1 H 0.1108 0.8343 0.2667
H2 H 0.1124 0.8492 0.5825
H3 H 0.1254 0.2604 0.5158
H4 H 0.1480 0.9981 0.8718
H5 H 0.1724 0.3130 0.9766
H6 H 0.1776 0.6218 0.4718
H7 H 0.2381 0.4880 0.0725
H8 H 0.2449 0.9207 0.9864
H9 H 0.2871 0.9085 0.4236
H10 H 0.2988 0.4838 0.7525
H11 H 0.3288 0.6101 0.9054
H12 H 0.4006 0.5976 0.4120
H13 H 0.4228 0.1264 0.2285
H14 H 0.4649 0.7060 0.7496
O1 O 0.0179 0.7483 0.5592
O2 O 0.1282 0.9053 0.8958
O3 O 0.1464 0.3899 0.0607
O4 O 0.2649 0.5434 0.4271
O5 O 0.2645 0.8320 0.3265
O6 O 0.2802 0.5892 0.8001
O7 O 0.4243 0.2341 0.2820
F1 F 0.1674 0.1679 0.8217
F2 F 0.2895 0.0059 0.5881
F3 F 0.3533 0.3124 0.6534
F4 F 0.4014 0.6500 0.0838
F5 F 0.4310 0.9499 0.1414
```